(1)
Calculated PXRD pattern of GdYLuTh for Cu Kα X-rays, from a structure optimized by DFT (PBE).

Structure:
abc: 7.9944 7.9944 7.9944
angles: 90.00 90.00 90.00
Space group F-43m (No. 216)
One atom of each set of equivalent atoms:
Gd (0.0000, 0.0000, 0.0000) [4 per cell]
Y (0.2500, 0.2500, 0.2500) [4 per cell]
Lu (0.0000, 0.0000, 0.5000) [4 per cell]
Th (0.2500, 0.2500, 0.7500) [4 per cell]

Most intense lines, 5 to 70 degrees two-theta, in order of falling intensity:
index	2θ (°)	Rel. int.
2 2 0	31.66	100
4 2 2	56.38	39
4 0 0	45.38	19
4 4 0	66.12	12
1 1 1	19.23	9
3 1 1	37.31	6
3 3 1	49.71	3
5 1 1	60.14	2
5 3 1	69.57	2

***

(2)
Calculated PXRD pattern of NdCu4Pt8 for Cu Kα X-rays, from a structure optimized by DFT (PBE).

Structure:
abc: 8.9757 8.9757 5.0818
angles: 90.00 90.00 90.00
Space group I4/mmm (No. 139)
One atom of each set of equivalent atoms:
Nd (0.0000, 0.0000, 0.0000) [2 per cell]
Cu (0.2500, 0.2500, 0.2500) [8 per cell]
Pt (0.0000, 0.2215, 0.5000) [8 per cell]
Pt (0.0000, 0.3470, 0.0000) [8 per cell]

Most intense lines, 5 to 70 degrees two-theta, in order of falling intensity:
index	2θ (°)	Rel. int.
3 2 1	40.34	100
2 2 2	45.74	49
4 1 1	45.32	43
3 0 1	34.80	43
4 0 0	40.19	40
0 0 2	35.32	40
2 0 2	40.81	27
3 2 3	66.80	23
2 2 0	28.12	23
4 2 0	45.18	16